Record 1
MgScTcSn: theoretical powder diffraction line list (Cu Kα X-rays), based on a structure optimized by DFT (GGA-PBE).
Kinematic intensities with the Lorentz-polarization factor, no thermal factor.

```
data_MgScTcSn
_chemical_formula_sum 'Mg1 Sc1 Tc1 Sn1'
_symmetry_space_group_name_H-M 'P m m m'
_symmetry_Int_Tables_number 47
_cell_length_a 3.874
_cell_length_b 4.286
_cell_length_c 4.510
_cell_angle_alpha 90.00
_cell_angle_beta 90.00
_cell_angle_gamma 90.00
loop_
_symmetry_equiv_pos_as_xyz
'x,y,z'
'-x,-y,-z'
'-x,-y,z'
'x,y,-z'
'x,-y,-z'
'-x,y,z'
'-x,y,-z'
'x,-y,z'
loop_
_atom_site_label
_atom_site_fract_x
_atom_site_fract_y
_atom_site_fract_z
Mg1 0.000 0.000 0.000
Sc1 0.000 0.500 0.500
Tc1 0.500 0.000 0.500
Sn1 0.500 0.500 0.000
```

Principal peaks in the range 5° ≤ 2θ ≤ 70°, low angle first:
(1 0 0), 2θ = 22.96°, d 3.874, I = 23; (0 1 1), 2θ = 28.73°, d 3.107, I = 26; (1 1 1), 2θ = 37.09°, d 2.424, I = 100; (0 0 2), 2θ = 39.98°, d 2.255, I = 20; (0 2 0), 2θ = 42.17°, d 2.143, I = 17; (2 0 0), 2θ = 46.90°, d 1.937, I = 13

***

Record 2
Rb2AuSe4: theoretical powder diffraction line list (Cu Kα X-rays), based on a structure optimized by DFT (GGA-PBE).
Kinematic intensities with the Lorentz-polarization factor, no thermal factor.

```
data_Rb2AuSe4
_chemical_formula_sum 'Rb8 Au4 Se16'
_symmetry_space_group_name_H-M 'I b a m'
_symmetry_Int_Tables_number 72
_symmetry_space_group_name_Hall '-I 2 2c'
_cell_length_a 10.367
_cell_length_b 13.561
_cell_length_c 7.065
_cell_angle_alpha 90.00
_cell_angle_beta 90.00
_cell_angle_gamma 90.00
loop_
_atom_site_label
_atom_site_fract_x
_atom_site_fract_y
_atom_site_fract_z
Rb1 0.199 0.126 0.000
Au1 0.000 0.500 0.250
Se1 0.115 0.387 0.000
Se2 0.157 0.132 0.500
```

Principal peaks in the range 5° ≤ 2θ ≤ 70°, low angle first:
(1 1 0), 2θ = 10.74°, d 8.236, I = 100; (0 2 0), 2θ = 13.06°, d 6.781, I = 39; (1 3 0), 2θ = 21.44°, d 4.144, I = 36; (3 1 0), 2θ = 26.62°, d 3.349, I = 41; (2 0 2), 2θ = 30.63°, d 2.919, I = 37; (0 4 2), 2θ = 36.74°, d 2.446, I = 73